Record 1
Structure and theoretical powder X-ray diffraction pattern of ScHgSe2 (a GGA-PBE-relaxed structure; Cu Ka).
Lines closer than 0.1° are merged.

Largest 6 diffraction maxima, in order of rising 2θ, 2θ = 10–90°:
| Position (°2θ) | d/Å | intensity | (hkl) |
| --- | --- | --- | --- |
| 18.0 | 4.931 | 22.0 | 0 0 2 |
| 27.1 | 3.288 | 36.0 | 0 0 3 |
| 29.2 | 3.056 | 63.1 | 1 1 1 |
| 33.3 | 2.693 | 100.0 | 1 1 2 |
| 34.9 | 2.570 | 31.4 | 0 2 0 |
| 46.4 | 1.956 | 30.0 | 1 1 4 |

Crystal structure
```
data_ScHgSe2
_cell_length_a 4.1200
_cell_length_b 5.1396
_cell_length_c 9.8628
_cell_angle_alpha 90.00
_cell_angle_beta 90.00
_cell_angle_gamma 90.00
_symmetry_space_group_name_H-M 'C m m m'
_symmetry_Int_Tables_number 65
_symmetry_space_group_name_Hall '-C 2 2'
loop_
_atom_site_label
_atom_site_type_symbol
_atom_site_fract_x
_atom_site_fract_y
_atom_site_fract_z
Sc1 Sc 0.0000 0.0000 0.0000
Hg1 Hg 0.0000 0.0000 0.5000
Se1 Se 0.0000 0.5000 0.1747
```

Record 2
Structure and theoretical powder X-ray diffraction pattern of ScHg2Se2 (a GGA-PBE-relaxed structure; Cu Ka).
Lines closer than 0.1° are merged.

Largest 6 diffraction maxima, in order of rising 2θ, 2θ = 10–90°:
| Position (°2θ) | d/Å | intensity | (hkl) |
| --- | --- | --- | --- |
| 25.2 | 3.535 | 30.2 | 1 1 1 |
| 27.0 | 3.300 | 26.1 | 2 1 0 |
| 32.9 | 2.720 | 100.0 | 2 1 1 |
| 37.4 | 2.403 | 22.5 | 0 0 2 |
| 38.6 | 2.333 | 19.9 | 3 1 0 |
| 53.2 | 1.722 | 22.6 | 4 0 1 |

Crystal structure
```
data_ScHg2Se2
_cell_length_a 7.3789
_cell_length_b 7.3789
_cell_length_c 4.8058
_cell_angle_alpha 90.00
_cell_angle_beta 90.00
_cell_angle_gamma 90.00
_symmetry_space_group_name_H-M 'P 4/m b m'
_symmetry_Int_Tables_number 127
_symmetry_space_group_name_Hall '-P 4 2ab'
loop_
_atom_site_label
_atom_site_type_symbol
_atom_site_fract_x
_atom_site_fract_y
_atom_site_fract_z
Sc1 Sc 0.0000 0.0000 0.0000
Hg1 Hg 0.1342 0.3658 0.5000
Se1 Se 0.2049 0.7049 0.0000
```

Record 3
Structure and theoretical powder X-ray diffraction pattern of ScSiHg2 (a GGA-PBE-relaxed structure; Cu Ka).
Lines closer than 0.1° are merged.

Largest 6 diffraction maxima, in order of rising 2θ, 2θ = 10–90°:
| Position (°2θ) | d/Å | intensity | (hkl) |
| --- | --- | --- | --- |
| 16.6 | 5.344 | 73.9 | 0 0 4 |
| 32.1 | 2.784 | 100.0 | 1 1 2 |
| 33.5 | 2.672 | 30.4 | 0 0 8 |
| 40.2 | 2.241 | 54.9 | 1 1 6 |
| 47.7 | 1.905 | 45.3 | 2 0 4 |
| 53.4 | 1.717 | 24.4 | 1 1 10 |

Crystal structure
```
data_ScSiHg2
_cell_length_a 4.0782
_cell_length_b 4.0782
_cell_length_c 21.3753
_cell_angle_alpha 90.00
_cell_angle_beta 90.00
_cell_angle_gamma 90.00
_symmetry_space_group_name_H-M 'I -4 2 d'
_symmetry_Int_Tables_number 122
_symmetry_space_group_name_Hall 'I -4 2bw'
loop_
_atom_site_label
_atom_site_type_symbol
_atom_site_fract_x
_atom_site_fract_y
_atom_site_fract_z
Sc1 Sc 0.0000 0.0000 0.0000
Si1 Si 0.0000 0.0000 0.5000
Hg1 Hg 0.2456 0.2500 0.6250
```

Record 4
Structure and theoretical powder X-ray diffraction pattern of ScSiHg (a GGA-PBE-relaxed structure; Cu Ka).
Lines closer than 0.1° are merged.

Largest 6 diffraction maxima, in order of rising 2θ, 2θ = 10–90°:
| Position (°2θ) | d/Å | intensity | (hkl) |
| --- | --- | --- | --- |
| 20.0 | 4.432 | 51.1 | 0 0 1 |
| 23.6 | 3.774 | 98.5 | 1 0 -1 |
| 34.9 | 2.572 | 60.4 | 0 1 1 |
| 37.1 | 2.423 | 100.0 | 1 1 0 |
| 37.2 | 2.415 | 37.8 | 1 0 1 |
| 47.4 | 1.917 | 38.7 | 1 1 1 |

Crystal structure
```
data_ScSiHg
_cell_length_a 4.1717
_cell_length_b 3.1591
_cell_length_c 4.8920
_cell_angle_alpha 90.00
_cell_angle_beta 115.05
_cell_angle_gamma 90.00
_symmetry_space_group_name_H-M 'P 1 m 1'
_symmetry_Int_Tables_number 6
_symmetry_space_group_name_Hall 'P -2y'
loop_
_atom_site_label
_atom_site_type_symbol
_atom_site_fract_x
_atom_site_fract_y
_atom_site_fract_z
Sc1 Sc 0.0000 0.0000 0.0000
Si1 Si 0.6258 0.5000 0.2504
Hg1 Hg 0.3110 0.5000 0.6216
```

Record 5
Structure and theoretical powder X-ray diffraction pattern of SmSc2Hg (a GGA-PBE-relaxed structure; Cu Ka).
Lines closer than 0.1° are merged.

Largest 6 diffraction maxima, in order of rising 2θ, 2θ = 10–90°:
| Position (°2θ) | d/Å | intensity | (hkl) |
| --- | --- | --- | --- |
| 19.2 | 4.627 | 35.2 | 0 0 1 |
| 27.2 | 3.275 | 31.4 | 1 1 0 |
| 33.5 | 2.673 | 100.0 | 1 1 1 |
| 38.9 | 2.315 | 49.8 | 2 0 0 |
| 56.2 | 1.637 | 33.7 | 2 2 0 |
| 67.0 | 1.396 | 39.4 | 3 1 1 |

Crystal structure
```
data_SmSc2Hg
_cell_length_a 4.6322
_cell_length_b 4.6322
_cell_length_c 4.6265
_cell_angle_alpha 90.00
_cell_angle_beta 90.00
_cell_angle_gamma 90.00
_symmetry_space_group_name_H-M 'P 4/m m m'
_symmetry_Int_Tables_number 123
_symmetry_space_group_name_Hall '-P 4 2'
loop_
_atom_site_label
_atom_site_type_symbol
_atom_site_fract_x
_atom_site_fract_y
_atom_site_fract_z
Sm1 Sm 0.0000 0.0000 0.0000
Sc1 Sc 0.0000 0.5000 0.5000
Hg1 Hg 0.5000 0.5000 0.0000
```

Record 6
Structure and theoretical powder X-ray diffraction pattern of Sm3ScHg5 (a GGA-PBE-relaxed structure; Cu Ka).
Lines closer than 0.1° are merged.

Largest 6 diffraction maxima, in order of rising 2θ, 2θ = 10–90°:
| Position (°2θ) | d/Å | intensity | (hkl) |
| --- | --- | --- | --- |
| 32.9 | 2.720 | 36.7 | 2 1 1 |
| 33.9 | 2.646 | 97.5 | 3 0 0 |
| 34.0 | 2.635 | 100.0 | 1 1 2 |
| 48.8 | 1.867 | 30.8 | 2 2 2 |
| 60.7 | 1.526 | 23.6 | 4 1 2 |
| 68.2 | 1.375 | 26.1 | 3 0 4 |

Crystal structure
```
data_Sm3ScHg5
_cell_length_a 9.1672
_cell_length_b 9.1672
_cell_length_c 6.4390
_cell_angle_alpha 90.00
_cell_angle_beta 90.00
_cell_angle_gamma 120.00
_symmetry_space_group_name_H-M 'P 63/m c m'
_symmetry_Int_Tables_number 193
_symmetry_space_group_name_Hall '-P 6c 2'
loop_
_atom_site_label
_atom_site_type_symbol
_atom_site_fract_x
_atom_site_fract_y
_atom_site_fract_z
Sm1 Sm 0.0000 0.3696 0.2500
Sc1 Sc 0.0000 0.0000 0.0000
Hg1 Hg 0.0000 0.2890 0.7500
Hg2 Hg 0.3333 0.6667 0.0000
```

What did the first record say?
Structure and theoretical powder X-ray diffraction pattern of ScHgSe2 (a GGA-PBE-relaxed structure; Cu Ka).
Lines closer than 0.1° are merged.

Largest 6 diffraction maxima, in order of rising 2θ, 2θ = 10–90°:
| Position (°2θ) | d/Å | intensity | (hkl) |
| --- | --- | --- | --- |
| 18.0 | 4.931 | 22.0 | 0 0 2 |
| 27.1 | 3.288 | 36.0 | 0 0 3 |
| 29.2 | 3.056 | 63.1 | 1 1 1 |
| 33.3 | 2.693 | 100.0 | 1 1 2 |
| 34.9 | 2.570 | 31.4 | 0 2 0 |
| 46.4 | 1.956 | 30.0 | 1 1 4 |

Crystal structure
```
data_ScHgSe2
_cell_length_a 4.1200
_cell_length_b 5.1396
_cell_length_c 9.8628
_cell_angle_alpha 90.00
_cell_angle_beta 90.00
_cell_angle_gamma 90.00
_symmetry_space_group_name_H-M 'C m m m'
_symmetry_Int_Tables_number 65
_symmetry_space_group_name_Hall '-C 2 2'
loop_
_atom_site_label
_atom_site_type_symbol
_atom_site_fract_x
_atom_site_fract_y
_atom_site_fract_z
Sc1 Sc 0.0000 0.0000 0.0000
Hg1 Hg 0.0000 0.0000 0.5000
Se1 Se 0.0000 0.5000 0.1747
```